The following is a computed X-ray diffraction stick pattern of YMoN3. It was derived from a cell relaxed with GGA-PBE, using Cu Ka.
Intensities are scaled so that the largest is 100.

```
data_YMoN3
_space_group_name_H-M_alt 'P 1'
_space_group_IT_number 1
_space_group_name_Hall 'P 1'
_cell_length_a 3.582
_cell_length_b 5.724
_cell_length_c 7.498
_cell_angle_alpha 69.93
_cell_angle_beta 86.49
_cell_angle_gamma 84.01
loop_
_atom_site_label
_atom_site_type_symbol
_atom_site_fract_x
_atom_site_fract_y
_atom_site_fract_z
Y1 Y 0.000 0.000 0.000
Y2 Y 0.448 0.358 0.276
Mo1 Mo 0.088 0.757 0.502
Mo2 Mo 0.539 0.640 0.821
N1 N 0.009 0.049 0.308
N2 N 0.029 0.815 0.756
N3 N 0.481 0.309 0.960
N4 N 0.529 0.731 0.059
N5 N 0.616 0.567 0.545
N6 N 0.900 0.454 0.458
```

Principal peaks in the range 2θ from 15° to 90°, low angle first:
| 2θ/deg | Rel. int. | index |
| --- | --- | --- |
| 16.55 | 48 | 0 1 0 |
| 24.05 | 76 | 0 1 -1 |
| 28.85 | 89 | 1 1 0 |
| 31.43 | 100 | 0 2 1 |
| 31.94 | 48 | -1 1 1 |
| 35.36 | 38 | 1 0 2 |
| 36.21 | 56 | 0 1 3 |
| 36.37 | 36 | 1 0 -2 |
| 46.11 | 31 | 1 2 -1 |
| 49.14 | 29 | 1 -2 1 |